Entry 1:
Simulated PXRD pattern
Compound: CaSc2Rh3
Radiation: copper Kα
Structure: a crystal structure in Alexandria, relaxed with PBE
No peak broadening, texture or thermal motion is included.

The 10 most intense peaks (10° ≤ 2θ ≤ 90°), by angle:
2θ = 26.25°, I 9.8; 2θ = 27.49°, I 23.3; 2θ = 38.37°, I 100.0; 2θ = 39.27°, I 52.6; 2θ = 45.27°, I 7.4; 2θ = 47.85°, I 8.1; 2θ = 56.75°, I 17.2; 2θ = 68.79°, I 11.4; 2θ = 70.59°, I 30.7; 2θ = 82.19°, I 6.8

Structure:
Cell lengths 3.244, 3.244, 10.186 Å; angles 90.00, 90.00, 90.00 degrees
Positions (direct):
Ca 0.000 0.000 0.000
Sc 0.000 0.000 0.339
Sc 0.000 0.000 0.661
Rh 0.500 0.500 0.193
Rh 0.500 0.500 0.500
Rh 0.500 0.500 0.807



Entry 2:
Simulated PXRD pattern
Compound: DyGe4Pd2
Radiation: copper Kα
Structure: a crystal structure in Alexandria, relaxed with PBE
No peak broadening, texture or thermal motion is included.

The 10 most intense peaks (10° ≤ 2θ ≤ 90°), by angle:
2θ = 33.20°, I 13.6; 2θ = 34.78°, I 100.0; 2θ = 35.69°, I 84.2; 2θ = 37.52°, I 17.8; 2θ = 38.76°, I 29.6; 2θ = 41.69°, I 52.7; 2θ = 42.23°, I 16.3; 2θ = 45.81°, I 28.1; 2θ = 58.23°, I 17.9; 2θ = 71.65°, I 24.3

Structure:
Cell lengths 17.265, 4.333, 6.915 Å; angles 90.00, 90.00, 90.00 degrees
Positions (direct):
Dy 0.142 0.250 0.020
Dy 0.358 0.750 0.520
Dy 0.642 0.250 0.480
Dy 0.858 0.750 0.980
Ge 0.040 0.750 0.859
Ge 0.064 0.250 0.470
Ge 0.177 0.750 0.335
Ge 0.193 0.750 0.747
Ge 0.307 0.250 0.247
Ge 0.323 0.250 0.835
Ge 0.436 0.750 0.970
Ge 0.460 0.250 0.359
Ge 0.540 0.750 0.641
Ge 0.564 0.250 0.030
Ge 0.677 0.750 0.165
Ge 0.693 0.750 0.753
Ge 0.807 0.250 0.253
Ge 0.823 0.250 0.665
Ge 0.936 0.750 0.530
Ge 0.960 0.250 0.141
Pd 0.030 0.750 0.235
Pd 0.215 0.250 0.554
Pd 0.285 0.750 0.054
Pd 0.470 0.250 0.735
Pd 0.530 0.750 0.265
Pd 0.715 0.250 0.946
Pd 0.785 0.750 0.446
Pd 0.970 0.250 0.765



Entry 3:
Simulated PXRD pattern
Compound: In2AgAu
Radiation: copper Kα
Structure: a crystal structure in Alexandria, relaxed with PBE
No peak broadening, texture or thermal motion is included.

The 10 most intense peaks (10° ≤ 2θ ≤ 90°), by angle:
2θ = 10.31°, I 12.5; 2θ = 33.06°, I 100.0; 2θ = 41.25°, I 54.1; 2θ = 42.15°, I 16.9; 2θ = 53.10°, I 25.6; 2θ = 63.99°, I 14.4; 2θ = 65.97°, I 13.0; 2θ = 69.37°, I 11.3; 2θ = 70.01°, I 21.9; 2θ = 87.77°, I 12.6

Structure:
Cell lengths 8.805, 8.805, 8.805 Å; angles 22.59, 22.59, 22.59 degrees
Positions (direct):
In 0.248 0.248 0.248
In 0.752 0.752 0.752
Ag 0.000 0.000 0.000
Au 0.500 0.500 0.500